No. 1
Structure and theoretical X-ray powder pattern of In2Sn3Bi (a crystal structure in Alexandria, relaxed with GGA-PBE; Cu Kα).
Peak positions follow from Bragg's law for the DFT cell and can differ from measured ones.

Atomic structure:
```
In2Sn3Bi
1.0
4.7241 0.0000 0.0000
-2.3621 4.0912 0.0000
0.0000 0.0000 11.7973
In Sn Bi
2 3 1
Direct
0.0000 0.0000 0.0000
0.3333 0.6667 0.6837
0.0000 0.0000 0.2477
0.3333 0.6667 0.9271
0.6667 0.3333 0.6122
0.6667 0.3333 0.3585
```

Most intense lines, 2θ from 10° to 90°, low angle first:
2θ 22.61, rel. 30
2θ 23.01, rel. 100
2θ 37.60, rel. 54
2θ 38.10, rel. 53
2θ 44.32, rel. 18
2θ 44.76, rel. 30
2θ 44.98, rel. 17
2θ 54.60, rel. 18
2θ 60.37, rel. 15
2θ 68.52, rel. 19

No. 2
Structure and theoretical X-ray powder pattern of In8SnBi2 (a crystal structure in Alexandria, relaxed with GGA-PBE; Cu Kα).
Peak positions follow from Bragg's law for the DFT cell and can differ from measured ones.

Atomic structure:
```
In8SnBi2
1.0
-2.5917 3.9277 8.0194
2.5917 -3.9277 8.0194
2.5917 3.9277 -8.0194
In Sn Bi
8 1 2
Direct
0.1340 0.3558 0.7783
0.1520 0.1520 0.0000
0.3003 0.0000 0.3003
0.4225 0.6442 0.7783
0.5775 0.3558 0.2217
0.6997 0.0000 0.6997
0.8480 0.8480 0.0000
0.8660 0.6442 0.2217
0.0000 0.5000 0.5000
0.2957 0.7957 0.5000
0.7043 0.2043 0.5000
```

Most intense lines, 2θ from 10° to 90°, low angle first:
2θ 25.25, rel. 10
2θ 30.39, rel. 31
2θ 32.83, rel. 13
2θ 33.16, rel. 100
2θ 33.52, rel. 13
2θ 34.61, rel. 31
2θ 53.11, rel. 11
2θ 59.02, rel. 9
2θ 61.10, rel. 17
2θ 64.96, rel. 12